Structure and calculated XRD peak list of Ti3Ga5Rh (a GGA-PBE-relaxed structure; CuKα).
Intensities are scaled so that the largest is 1000.

Largest 12 diffraction maxima, in order of rising 2θ, 10° ≤ 2θ ≤ 90°:
d (Å), I_rel
3.823, 164
2.588, 651
2.475, 674
2.314, 113
2.241, 1000
2.143, 224
1.998, 127
1.754, 149
1.607, 198
1.464, 134
1.417, 232
1.197, 159

Structural model:
```
Ti3Ga5Rh
1.0
-3.659 3.659 5.671
3.659 -3.659 5.671
3.659 3.659 -5.671
Ti Ga Rh
6 10 2
Direct
0.120 0.620 0.740
0.250 0.250 0.000
0.380 0.120 0.500
0.620 0.880 0.500
0.750 0.750 0.000
0.880 0.380 0.260
0.000 0.000 0.000
0.053 0.161 0.500
0.161 0.661 0.107
0.339 0.447 0.500
0.447 0.947 0.107
0.500 0.500 0.000
0.553 0.053 0.893
0.661 0.553 0.500
0.839 0.339 0.893
0.947 0.839 0.500
0.250 0.750 0.500
0.750 0.250 0.500
```

---

Structure and calculated XRD peak list of VH (a GGA-PBE-relaxed structure; CuKα).
Intensities are scaled so that the largest is 1000.

Largest 10 diffraction maxima, in order of rising 2θ, 10° ≤ 2θ ≤ 90°:
d (Å), I_rel
2.243, 1000
2.230, 188
1.593, 60
1.581, 125
1.298, 60
1.295, 175
1.290, 114
1.122, 70
1.121, 18
1.115, 18

Structural model:
```
VH
1.0
1.593 -2.230 0.000
1.593 2.230 0.000
0.000 0.000 4.483
V H
2 2
Direct
0.000 0.500 0.000
0.500 0.000 0.500
0.000 0.000 0.250
0.000 0.000 0.750
```